# Na3TiGaSiP2O12
Calculated powder diffraction line list, CuKα. Input: a DFT-relaxed cell (PBE, the Materials Project).
Neutral-atom scattering factors, no anomalous dispersion.

Atomic structure:
Cell: 15.2948 8.8410 8.8490 Å, 90.00 124.84 90.00°
Space group Cc (No. 9)
Inequivalent atoms, fractional coordinates:
Na 0.0000 0.0663 0.0000
Na 0.0620 0.2717 0.7103
Na 0.3123 0.1085 0.9679
Ti 0.2064 0.2577 0.1522
Ga 0.4151 0.2414 0.7749
Si 0.4553 0.1025 0.4603
P 0.1633 0.1084 0.4704
P 0.3109 0.4610 0.9707
O 0.0563 0.3126 0.9760
O 0.0638 0.1650 0.4567
O 0.1589 0.0691 0.9730
O 0.1640 0.1455 0.2981
O 0.2290 0.3565 0.9695
O 0.2471 0.4325 0.3000
O 0.2633 0.1699 0.6483
O 0.3445 0.1730 0.2730
O 0.3785 0.4449 0.6473
O 0.3884 0.3600 0.9564
O 0.4513 0.1446 0.6334
O 0.4584 0.0806 0.9518

Principal peaks in the range 5° ≤ 2θ ≤ 70°, sorted by position:
14.1°, rel. 36; 20.0°, rel. 82; 20.1°, rel. 64; 23.5°, rel. 65; 23.6°, rel. 30; 28.5°, rel. 38; 31.2°, rel. 41; 31.9°, rel. 100; 32.0°, rel. 52; 35.2°, rel. 83; 45.8°, rel. 27; 48.2°, rel. 39

***

# Na4TiGaSi2PO12
Calculated powder diffraction line list, CuKα. Input: a DFT-relaxed cell (PBE, the Materials Project).
Neutral-atom scattering factors, no anomalous dispersion.

Atomic structure:
Cell: 15.4460 8.9847 8.9268 Å, 90.00 125.20 90.00°
Space group Cc (No. 9)
Inequivalent atoms, fractional coordinates:
Na 0.0000 0.0593 0.0000
Na 0.0671 0.2462 0.7462
Na 0.1343 0.4298 0.5025
Na 0.3160 0.1202 0.9932
Ti 0.2145 0.2493 0.1954
Ga 0.4170 0.2600 0.8041
Si 0.1726 0.1062 0.5052
Si 0.3189 0.4569 0.0035
P 0.4628 0.1048 0.5048
O 0.0571 0.3179 0.0155
O 0.0713 0.1859 0.4857
O 0.1680 0.0774 0.0164
O 0.1765 0.1341 0.3246
O 0.2344 0.3551 0.0169
O 0.2424 0.4308 0.3253
O 0.2767 0.1812 0.6851
O 0.3627 0.1795 0.3327
O 0.3983 0.3482 0.9883
O 0.3995 0.4419 0.6826
O 0.4635 0.1278 0.6768
O 0.4688 0.0646 0.9852

Principal peaks in the range 5° ≤ 2θ ≤ 70°, sorted by position:
14.0°, rel. 26; 19.8°, rel. 59; 19.9°, rel. 50; 23.3°, rel. 26; 28.2°, rel. 36; 30.8°, rel. 26; 31.6°, rel. 48; 31.7°, rel. 100; 34.6°, rel. 50; 34.9°, rel. 24; 47.7°, rel. 43; 62.3°, rel. 18